Starting from DFT lattice parameters and positions (GGA-PBE), the powder X-ray diffraction pattern of TaSe2 was simulated for Cu Kα, 1.54184 Å.
Neutral-atom scattering factors, no anomalous dispersion.

Top 6 peaks for 2θ = 15–90°, in order of rising 2θ:
30.4 deg, I 31, (1 0 1)
32.5 deg, I 81, (1 0 2)
39.9 deg, I 100, (1 0 4)
50.1 deg, I 27, (1 0 6)
52.7 deg, I 38, (1 1 0)
78.4 deg, I 24, (1 1 8)

Structural model:
a = 3.4742 Å, b = 3.4742 Å, c = 13.7032 Å
α = 90.00°, β = 90.00°, γ = 120.00°
Space group P6_3/mmc (No. 194)
One atom of each set of equivalent atoms:
Ta 0.0000 0.0000 0.2500
Se 0.3333 0.6667 0.1272